The following is a computed XRD peak list of Gd2W2O9. It was derived from DFT lattice parameters and positions (PBE+U), using Cu Kα (λ = 1.5418 Å).
Peak positions follow from Bragg's law for the DFT cell and can differ from measured ones.

Crystal structure
```
data_Gd2W2O9
_chemical_formula_sum 'Gd16 W16 O72'
_cell_length_a 15.757
_cell_length_b 11.929
_cell_length_c 7.243
_cell_angle_alpha 90.00
_cell_angle_beta 90.00
_cell_angle_gamma 90.00
_symmetry_space_group_name_H-M 'C m c m'
_symmetry_Int_Tables_number 63
_symmetry_space_group_name_Hall '-C 2c 2'
loop_
_atom_site_label
_atom_site_type_symbol
_atom_site_fract_x
_atom_site_fract_y
_atom_site_fract_z
_atom_site_occupancy
Gd1 Gd 0.145 0.233 0.250 1
Gd2 Gd 0.225 0.500 0.000 1
W1 W 0.000 0.000 0.000 1
W2 W 0.000 0.453 0.250 1
W3 W 0.122 0.227 0.750 1
O1 O 0.000 0.058 0.250 1
O2 O 0.000 0.272 0.750 1
O3 O 0.000 0.300 0.250 1
O4 O 0.000 0.500 0.000 1
O5 O 0.086 0.109 0.560 1
O6 O 0.120 0.468 0.250 1
O7 O 0.148 0.318 0.548 1
O8 O 0.213 0.080 0.250 1
O9 O 0.232 0.156 0.750 1
```

Peak list (10 most intense, 10 to 80 degrees two-theta, sorted by position)
| h k l | 2θ/deg | I_rel |
| --- | --- | --- |
| 4 2 0 | 27.13 | 100.0 |
| 0 2 2 | 28.84 | 54.3 |
| 0 4 0 | 29.96 | 32.0 |
| 3 1 2 | 30.92 | 30.6 |
| 4 0 2 | 33.62 | 22.6 |
| 4 4 2 | 45.64 | 33.0 |
| 3 5 2 | 48.89 | 14.0 |
| 0 0 4 | 50.40 | 15.4 |
| 7 3 2 | 53.16 | 13.0 |
| 4 2 4 | 58.17 | 23.2 |